Computed powder X-ray diffraction pattern of Np2Ni5O12 for Cu Kα (weighted mean of Kα1 and Kα2), from a DFT-relaxed cell (PBE+U, Alexandria).
Kinematic intensities with the Lorentz-polarization factor, no thermal factor.

Top 10 peaks for 5° ≤ 2θ ≤ 70°, low angle first:
(hkl), 2θ/deg, d_spacing, intensity
0 0 1, 12.54, 7.059, 56
1 -1 0, 17.68, 5.017, 39
1 -1 1, 21.18, 4.195, 59
-1 1 1, 22.27, 3.992, 100
0 0 2, 25.23, 3.530, 37
1 -1 2, 30.18, 2.961, 62
0 2 -1, 30.68, 2.914, 61
1 1 1, 31.07, 2.879, 69
1 1 -2, 34.99, 2.565, 31
-1 3 1, 44.83, 2.022, 28

Structural model:
Cell lengths 5.6052, 6.6098, 7.1236 Å; angles 96.89, 90.45, 113.16 degrees
Element x y z (fractional)
Np1 0.2443 0.2563 0.0215
Np2 0.7557 0.7437 0.9785
Ni1 0.0000 0.0000 0.5000
Ni2 0.2232 0.5990 0.6353
Ni3 0.3469 0.8644 0.3290
Ni4 0.6531 0.1356 0.6710
Ni5 0.7768 0.4010 0.3647
O1 0.0373 0.7139 0.4683
O2 0.0600 0.3967 0.1607
O3 0.0783 0.9510 0.1613
O4 0.4028 0.5195 0.8413
O5 0.4228 0.1108 0.8813
O6 0.4314 0.1737 0.4665
O7 0.5686 0.8263 0.5335
O8 0.5772 0.8892 0.1187
O9 0.5972 0.4805 0.1587
O10 0.9217 0.0490 0.8387
O11 0.9400 0.6033 0.8393
O12 0.9627 0.2861 0.5317